[1]
The following is a computed PXRD pattern of Pu2ThHg6. It was derived from a cell relaxed with GGA-PBE, using Cu Kα.
Lines closer than 0.1° are merged.

Atomic structure:
```
9
Lattice="4.433 2.559 3.264 -4.433 2.559 3.264 0.000 -5.119 3.264" Properties=species:S:1:pos:R:3 pbc="T T T"
Pu 0.000 0.000 1.608
Pu 0.000 0.000 8.184
Th 0.000 0.000 4.896
Hg -1.475 -2.563 3.264
Hg -2.957 0.004 3.264
Hg 1.475 -2.563 3.264
Hg -1.482 2.559 3.264
Hg 2.957 0.004 3.264
Hg 1.482 2.559 3.264
```

Main lines, by angle (2θ from 10° to 90°):
34.11 deg, I = 99.9
35.06 deg, I = 100.0
49.72 deg, I = 35.4
62.29 deg, I = 36.5
62.90 deg, I = 19.0
68.14 deg, I = 30.1
84.14 deg, I = 16.4
89.46 deg, I = 15.7



[2]
The following is a computed PXRD pattern of InRh3. It was derived from a cell relaxed with GGA-PBE, using Cu Kα.
Lines closer than 0.1° are merged.

Atomic structure:
```
8
Lattice="5.703 0.000 0.000 0.000 7.595 0.000 0.000 0.000 2.868" Properties=species:S:1:pos:R:3 pbc="T T T"
In 0.000 0.000 0.000
In 2.852 3.798 0.000
Rh 0.000 3.798 0.000
Rh 1.426 1.899 1.434
Rh 1.426 5.697 1.434
Rh 2.852 0.000 0.000
Rh 4.278 1.899 1.434
Rh 4.278 5.697 1.434
```

Main lines, by angle (2θ from 10° to 90°):
39.37 deg, I = 100.0
39.52 deg, I = 98.9
44.82 deg, I = 68.6
47.91 deg, I = 28.1
67.69 deg, I = 38.9
78.85 deg, I = 25.1
79.14 deg, I = 24.9
83.52 deg, I = 21.8



[3]
The following is a computed PXRD pattern of Dy6ZnCd3. It was derived from a cell relaxed with GGA-PBE, using Cu Kα.
Lines closer than 0.1° are merged.

Atomic structure:
```
20
Lattice="9.141 0.000 0.000 0.000 5.271 0.000 -3.688 0.000 10.986" Properties=species:S:1:pos:R:3 pbc="T T T"
Dy -1.225 1.318 4.525
Dy 0.893 3.953 1.887
Dy 2.394 1.318 0.058
Dy 0.189 3.953 8.996
Dy 2.098 1.318 3.748
Dy 1.323 1.318 6.946
Dy 4.129 3.953 4.040
Dy 3.354 3.953 7.238
Dy 5.264 1.318 1.990
Dy 3.058 3.953 10.928
Dy 4.560 1.318 9.099
Dy 6.677 3.953 6.461
Zn 3.815 3.953 1.080
Zn 1.637 1.318 9.906
Cd -2.976 3.953 9.624
Cd -1.650 1.318 7.920
Cd 0.743 3.953 5.203
Cd 4.709 1.318 5.783
Cd 7.102 3.953 3.066
Cd 8.428 1.318 1.362
```

Main lines, by angle (2θ from 10° to 90°):
31.47 deg, I = 6.5
32.58 deg, I = 14.8
34.02 deg, I = 100.0
36.88 deg, I = 8.6
47.81 deg, I = 10.1
49.93 deg, I = 5.8
60.89 deg, I = 17.4
61.80 deg, I = 6.4